Zr3As4Pt4: simulated PXRD pattern (Cu Ka), based on a GGA-PBE-relaxed structure.
Peak positions follow from Bragg's law for the DFT cell and can differ from measured ones.

Peak list (10 most intense, 15 to 90 degrees two-theta, most intense first)
Position (°2θ)  I/Imax
25.1  100
41.7  82
41.2  42
48.9  33
75.4  28
49.6  17
59.7  14
66.4  14
76.3  13
80.6  8

Crystal structure
```
data_Zr3As4Pt4
_chemical_formula_sum 'Zr3 As4 Pt4'
_symmetry_space_group_name_H-M 'P 1'
_symmetry_Int_Tables_number 1
_cell_length_a 7.486
_cell_length_b 7.486
_cell_length_c 7.486
_cell_angle_alpha 131.11
_cell_angle_beta 131.11
_cell_angle_gamma 71.63
loop_
_symmetry_equiv_pos_as_xyz
'x,y,z'
loop_
_atom_site_label
_atom_site_fract_x
_atom_site_fract_y
_atom_site_fract_z
_atom_site_occupancy
Zr1 0.000 0.000 0.000 1
Zr2 0.250 0.750 0.500 1
Zr3 0.750 0.250 0.500 1
As1 0.000 0.500 0.500 1
As2 0.260 0.260 0.000 1
As3 0.500 0.000 0.500 1
As4 0.740 0.740 0.000 1
Pt1 0.117 0.628 0.000 1
Pt2 0.372 0.372 0.489 1
Pt3 0.628 0.117 0.000 1
Pt4 0.883 0.883 0.511 1
```